Record 1
Calculated XRD peak list
Compound: Hg5Bi2H4
Radiation: a wavelength of 1.5418 Å
Structure: the PBE geometry in Alexandria
Neutral-atom scattering factors, no anomalous dispersion.

```
data_Hg5Bi2H4
_space_group_name_H-M_alt 'P -1'
_space_group_IT_number 2
_space_group_name_Hall '-P 1'
_cell_length_a 4.5132
_cell_length_b 7.5840
_cell_length_c 8.3174
_cell_angle_alpha 72.31
_cell_angle_beta 86.63
_cell_angle_gamma 83.10
loop_
_atom_site_label
_atom_site_type_symbol
_atom_site_fract_x
_atom_site_fract_y
_atom_site_fract_z
Hg1 Hg 0.0000 0.0000 0.0000
Hg2 Hg 0.3295 0.8491 0.5548
Hg3 Hg 0.4368 0.2878 0.0574
Bi1 Bi 0.0464 0.5002 0.6793
H1 H 0.0039 0.0746 0.7876
H2 H 0.4288 0.3870 0.6622
```

Top 8 peaks for 2θ = 10–80°, low angle first:
d/Å, 2θ (°), intensity
4.014, 22.15, 28.2
3.961, 22.45, 29.7
3.479, 25.61, 100.0
3.146, 28.37, 32.9
3.003, 29.75, 40.4
2.962, 30.17, 95.2
2.761, 32.43, 39.9
2.510, 35.78, 34.8


Record 2
Calculated XRD peak list
Compound: CsBaNb2O7
Radiation: a wavelength of 1.5418 Å
Structure: the PBE geometry in Alexandria
Neutral-atom scattering factors, no anomalous dispersion.

```
data_CsBaNb2O7
_space_group_name_H-M_alt 'I -4 m 2'
_space_group_IT_number 119
_space_group_name_Hall 'I -4 -2'
_cell_length_a 4.0174
_cell_length_b 4.0174
_cell_length_c 25.1342
_cell_angle_alpha 90.00
_cell_angle_beta 90.00
_cell_angle_gamma 90.00
loop_
_atom_site_label
_atom_site_type_symbol
_atom_site_fract_x
_atom_site_fract_y
_atom_site_fract_z
Cs1 Cs 0.0000 0.0000 0.0000
Ba1 Ba 0.0000 0.5000 0.7500
Nb1 Nb 0.0000 0.5000 0.1538
O1 O 0.0000 0.0000 0.1682
O2 O 0.0000 0.0000 0.3316
O3 O 0.0000 0.5000 0.0822
O4 O 0.0000 0.5000 0.2500
```

Top 8 peaks for 2θ = 10–80°, low angle first:
d/Å, 2θ (°), intensity
3.967, 22.41, 33.6
3.622, 24.58, 70.3
3.139, 28.44, 100.0
2.771, 32.31, 54.2
2.677, 33.47, 29.9
2.009, 45.14, 38.4
1.882, 48.35, 36.0
1.692, 54.21, 37.8


Record 3
Calculated XRD peak list
Compound: LiNpI4
Radiation: a wavelength of 1.5418 Å
Structure: the PBE geometry in Alexandria
Neutral-atom scattering factors, no anomalous dispersion.

```
data_LiNpI4
_space_group_name_H-M_alt 'P 1 2/m 1'
_space_group_IT_number 10
_space_group_name_Hall '-P 2y'
_cell_length_a 7.5361
_cell_length_b 4.4540
_cell_length_c 7.6139
_cell_angle_alpha 90.00
_cell_angle_beta 93.54
_cell_angle_gamma 90.00
loop_
_atom_site_label
_atom_site_type_symbol
_atom_site_fract_x
_atom_site_fract_y
_atom_site_fract_z
Li1 Li 0.0000 0.0000 0.0000
Np1 Np 0.0000 0.5000 0.5000
I1 I 0.2198 0.5000 0.1734
I2 I 0.2413 0.0000 0.6782
```

Top 8 peaks for 2θ = 10–80°, low angle first:
d/Å, 2θ (°), intensity
7.599, 11.64, 34.8
7.522, 11.77, 65.2
3.476, 25.63, 59.9
3.379, 26.37, 100.0
2.760, 32.44, 26.6
2.647, 33.87, 38.4
2.202, 40.99, 38.6
2.130, 42.43, 34.7


Record 4
Calculated XRD peak list
Compound: PrTe2Pd4
Radiation: a wavelength of 1.5418 Å
Structure: the PBE geometry in Alexandria
Neutral-atom scattering factors, no anomalous dispersion.

```
data_PrTe2Pd4
_space_group_name_H-M_alt 'P 42/m n m'
_space_group_IT_number 136
_space_group_name_Hall '-P 4n 2n'
_cell_length_a 8.0428
_cell_length_b 8.0428
_cell_length_c 4.4108
_cell_angle_alpha 90.00
_cell_angle_beta 90.00
_cell_angle_gamma 90.00
loop_
_atom_site_label
_atom_site_type_symbol
_atom_site_fract_x
_atom_site_fract_y
_atom_site_fract_z
Pr1 Pr 0.0000 0.0000 0.0000
Te1 Te 0.2161 0.2161 0.5000
Pd1 Pd 0.0978 0.6492 0.5000
```

Top 8 peaks for 2θ = 10–80°, low angle first:
d/Å, 2θ (°), intensity
2.844, 31.46, 19.3
2.788, 32.11, 64.6
2.543, 35.29, 30.1
2.390, 37.64, 47.9
2.204, 40.95, 100.0
1.951, 46.56, 18.4
1.666, 55.12, 17.1
1.511, 61.35, 16.0


Record 5
Calculated XRD peak list
Compound: Cd3BrCl
Radiation: a wavelength of 1.5418 Å
Structure: the PBE geometry in Alexandria
Neutral-atom scattering factors, no anomalous dispersion.

```
data_Cd3BrCl
_space_group_name_H-M_alt 'P m -3 m'
_space_group_IT_number 221
_space_group_name_Hall '-P 4 2 3'
_cell_length_a 5.8095
_cell_length_b 5.8095
_cell_length_c 5.8095
_cell_angle_alpha 90.00
_cell_angle_beta 90.00
_cell_angle_gamma 90.00
loop_
_atom_site_label
_atom_site_type_symbol
_atom_site_fract_x
_atom_site_fract_y
_atom_site_fract_z
Cd1 Cd 0.0000 0.0000 0.5000
Br1 Br 0.0000 0.0000 0.0000
Cl1 Cl 0.5000 0.5000 0.5000
```

Top 8 peaks for 2θ = 10–80°, low angle first:
d/Å, 2θ (°), intensity
5.810, 15.25, 63.8
3.354, 26.58, 81.5
2.905, 30.78, 100.0
2.598, 34.52, 35.6
2.054, 44.09, 72.0
1.752, 52.22, 35.2
1.677, 54.73, 24.6
1.299, 72.80, 30.5


Record 6
Calculated XRD peak list
Compound: K2TlBiS4
Radiation: a wavelength of 1.5418 Å
Structure: the PBE geometry in Alexandria
Neutral-atom scattering factors, no anomalous dispersion.

```
data_K2TlBiS4
_space_group_name_H-M_alt 'P m n 21'
_space_group_IT_number 31
_space_group_name_Hall 'P 2ac -2'
_cell_length_a 9.6666
_cell_length_b 8.7748
_cell_length_c 6.5299
_cell_angle_alpha 90.00
_cell_angle_beta 90.00
_cell_angle_gamma 90.00
loop_
_atom_site_label
_atom_site_type_symbol
_atom_site_fract_x
_atom_site_fract_y
_atom_site_fract_z
K1 K 0.2452 0.1654 0.0000
Tl1 Tl 0.0000 0.3444 0.5376
Bi1 Bi 0.0000 0.6676 0.0307
S1 S 0.0000 0.3865 0.9435
S2 S 0.0000 0.6288 0.4233
S3 S 0.2288 0.2030 0.4897
```

Top 8 peaks for 2θ = 10–80°, low angle first:
d/Å, 2θ (°), intensity
8.775, 10.08, 69.2
5.239, 16.93, 100.0
4.234, 20.98, 74.8
3.642, 24.44, 55.9
3.552, 25.07, 89.6
3.265, 27.32, 60.8
2.502, 35.89, 59.3
1.986, 45.68, 52.2


Record 7
Calculated XRD peak list
Compound: Mg5Si9
Radiation: a wavelength of 1.5418 Å
Structure: the PBE geometry in Alexandria
Neutral-atom scattering factors, no anomalous dispersion.

```
data_Mg5Si9
_space_group_name_H-M_alt 'P 1'
_space_group_IT_number 1
_space_group_name_Hall 'P 1'
_cell_length_a 6.9689
_cell_length_b 7.2608
_cell_length_c 11.8162
_cell_angle_alpha 88.15
_cell_angle_beta 83.04
_cell_angle_gamma 64.77
loop_
_atom_site_label
_atom_site_type_symbol
_atom_site_fract_x
_atom_site_fract_y
_atom_site_fract_z
Mg1 Mg 0.0000 0.0000 0.0000
Mg2 Mg 0.0198 0.1472 0.7071
Mg3 Mg 0.0667 0.7194 0.7795
Mg4 Mg 0.1154 0.4651 0.5506
Mg5 Mg 0.2835 0.5281 0.0440
Mg6 Mg 0.3521 0.8243 0.2119
Mg7 Mg 0.5205 0.5017 0.6037
Mg8 Mg 0.6923 0.9315 0.6158
Mg9 Mg 0.7352 0.9774 0.2444
Mg10 Mg 0.9211 0.1798 0.4185
Si1 Si 0.0409 0.3823 0.9214
Si2 Si 0.0651 0.7450 0.3706
Si3 Si 0.1645 0.2551 0.2466
Si4 Si 0.1699 0.8470 0.5399
Si5 Si 0.2620 0.1508 0.0552
Si6 Si 0.3034 0.2960 0.7530
Si7 Si 0.3613 0.4234 0.3016
Si8 Si 0.4441 0.7061 0.8508
Si9 Si 0.4476 0.9180 0.4266
Si10 Si 0.5164 0.2102 0.4554
Si11 Si 0.5631 0.9105 0.9477
Si12 Si 0.6453 0.3494 0.1457
Si13 Si 0.6614 0.1257 0.8210
Si14 Si 0.6889 0.3895 0.9275
Si15 Si 0.7803 0.5702 0.7250
Si16 Si 0.7845 0.6187 0.4047
Si17 Si 0.8356 0.5218 0.2061
Si18 Si 0.8632 0.7094 0.0399
```

Top 8 peaks for 2θ = 10–80°, low angle first:
d/Å, 2θ (°), intensity
2.757, 32.47, 31.6
2.712, 33.03, 36.6
2.615, 34.30, 43.2
2.567, 34.96, 25.7
2.541, 35.33, 100.0
2.488, 36.10, 24.0
2.448, 36.72, 32.6
2.356, 38.20, 24.6


Record 8
Calculated XRD peak list
Compound: La7TbPm12
Radiation: a wavelength of 1.5418 Å
Structure: the PBE geometry in Alexandria
Neutral-atom scattering factors, no anomalous dispersion.

```
data_La7TbPm12
_space_group_name_H-M_alt 'R -3'
_space_group_IT_number 148
_space_group_name_Hall '-R 3'
_cell_length_a 12.7339
_cell_length_b 12.7339
_cell_length_c 15.2281
_cell_angle_alpha 90.00
_cell_angle_beta 90.00
_cell_angle_gamma 120.00
loop_
_atom_site_label
_atom_site_type_symbol
_atom_site_fract_x
_atom_site_fract_y
_atom_site_fract_z
La1 La 0.0000 0.0000 0.0000
La2 La 0.0647 0.1937 0.3102
Tb1 Tb 0.0000 0.0000 0.5000
Pm1 Pm 0.0232 0.4399 0.2236
Pm2 Pm 0.0662 0.8326 0.8954
```

Top 8 peaks for 2θ = 10–80°, low angle first:
d/Å, 2θ (°), intensity
3.969, 22.40, 14.8
3.133, 28.49, 37.4
2.999, 29.79, 100.0
2.977, 30.01, 48.7
2.936, 30.45, 32.2
2.838, 31.52, 98.5
2.811, 31.83, 41.3
1.765, 51.80, 18.6


Record 9
Calculated XRD peak list
Compound: Cs6Rb2HgSe
Radiation: a wavelength of 1.5418 Å
Structure: the PBE geometry in Alexandria
Neutral-atom scattering factors, no anomalous dispersion.

```
data_Cs6Rb2HgSe
_space_group_name_H-M_alt 'C 1 m 1'
_space_group_IT_number 8
_space_group_name_Hall 'C -2y'
_cell_length_a 14.9887
_cell_length_b 14.9938
_cell_length_c 10.5929
_cell_angle_alpha 90.00
_cell_angle_beta 134.91
_cell_angle_gamma 90.00
loop_
_atom_site_label
_atom_site_type_symbol
_atom_site_fract_x
_atom_site_fract_y
_atom_site_fract_z
Cs1 Cs 0.0000 0.0000 0.0000
Cs2 Cs 0.9997 0.0000 0.4677
Cs3 Cs 0.0332 0.5000 0.0013
Cs4 Cs 0.0337 0.5000 0.5337
Cs5 Cs 0.2669 0.2664 0.0008
Rb1 Rb 0.2665 0.2488 0.5008
Hg1 Hg 0.2670 0.0000 0.0009
Se1 Se 0.2666 0.5000 0.0008
```

Top 8 peaks for 2θ = 10–80°, low angle first:
d/Å, 2θ (°), intensity
7.498, 11.80, 45.0
4.329, 20.52, 56.6
3.749, 23.73, 100.0
3.353, 26.58, 24.9
2.651, 33.81, 77.3
2.261, 39.88, 25.5
2.164, 41.73, 27.5
1.677, 54.74, 28.8


Record 10
Calculated XRD peak list
Compound: Li3La2CuPd12
Radiation: a wavelength of 1.5418 Å
Structure: the PBE geometry in Alexandria
Neutral-atom scattering factors, no anomalous dispersion.

```
data_Li3La2CuPd12
_space_group_name_H-M_alt 'R -3 m'
_space_group_IT_number 166
_space_group_name_Hall '-R 3 2"'
_cell_length_a 5.7525
_cell_length_b 5.7525
_cell_length_c 34.2866
_cell_angle_alpha 90.00
_cell_angle_beta 90.00
_cell_angle_gamma 120.00
loop_
_atom_site_label
_atom_site_type_symbol
_atom_site_fract_x
_atom_site_fract_y
_atom_site_fract_z
Li1 Li 0.0000 0.5000 0.0000
La1 La 0.0000 0.0000 0.1365
Cu1 Cu 0.0000 0.0000 0.5000
Pd1 Pd 0.0042 0.5021 0.8874
Pd2 Pd 0.0181 0.5090 0.6164
```

Top 8 peaks for 2θ = 10–80°, low angle first:
d/Å, 2θ (°), intensity
2.857, 31.31, 26.9
2.789, 32.09, 15.1
2.642, 33.93, 14.2
2.569, 34.92, 14.4
2.392, 37.60, 100.0
2.198, 41.07, 14.2
2.154, 41.95, 73.3
1.438, 64.83, 25.8